No. 1
# Sc4NiGe8
Calculated XRD peak list, Cu Kα X-rays. Input: a DFT-relaxed cell (GGA-PBE, Alexandria).
Intensities are scaled so that the largest is 100.

Structure:
Lattice parameters (Å, degrees): 3.883 3.933 15.385 90.00 90.00 90.00
Space group Pmm2 (No. 25)
Unique sites:
Sc1 0.000 0.000 0.000 [1 per cell]
Sc2 0.000 0.500 0.488 [1 per cell]
Sc3 0.500 0.000 0.789 [1 per cell]
Sc4 0.500 0.500 0.288 [1 per cell]
Ni1 0.000 0.500 0.708 [1 per cell]
Ge1 0.000 0.000 0.326 [1 per cell]
Ge2 0.000 0.000 0.625 [1 per cell]
Ge3 0.000 0.500 0.142 [1 per cell]
Ge4 0.000 0.500 0.855 [1 per cell]
Ge5 0.500 0.000 0.147 [1 per cell]
Ge6 0.500 0.000 0.439 [1 per cell]
Ge7 0.500 0.500 0.623 [1 per cell]
Ge8 0.500 0.500 0.964 [1 per cell]

Main lines, in order of falling intensity (2θ = 5–70°):
2θ = 36.95°, I 100, hkl 1 1 3; 2θ = 46.16°, I 19, hkl 0 2 0; 2θ = 46.79°, I 19, hkl 2 0 0; 2θ = 34.99°, I 14, hkl 0 0 6; 2θ = 67.83°, I 12, hkl 2 2 0; 2θ = 42.24°, I 10, hkl 1 0 6; 2θ = 23.35°, I 10, hkl 0 1 1; 2θ = 53.26°, I 7, hkl 1 1 7; 2θ = 64.04°, I 7, hkl 1 1 9; 2θ = 40.18°, I 6, hkl 1 1 4; 2θ = 59.22°, I 6, hkl 0 2 6; 2θ = 23.13°, I 6, hkl 0 0 4

No. 2
# Rb2Li2PbCl6
Calculated XRD peak list, Cu Kα X-rays. Input: a DFT-relaxed cell (GGA-PBE, Alexandria).
Intensities are scaled so that the largest is 100.

Structure:
Lattice parameters (Å, degrees): 7.6468 7.6468 22.0513 90.00 90.00 120.00
Space group R-3m (No. 166, hexagonal axes)
Unique sites:
Rb1 0.0000 0.0000 0.2069 [6 per cell]
Li1 0.0000 0.0000 0.4181 [6 per cell]
Pb1 0.0000 0.0000 0.0000 [3 per cell]
Cl1 0.0075 0.5037 0.7548 [18 per cell]

Main lines, in order of falling intensity (2θ = 5–70°):
2θ = 13.96°, I 100, hkl 1 0 1; 2θ = 33.84°, I 66, hkl 2 0 5; 2θ = 24.25°, I 64, hkl 0 1 5; 2θ = 31.52°, I 62, hkl 0 2 4; 2θ = 23.26°, I 52, hkl 1 1 0; 2θ = 41.48°, I 35, hkl 1 2 5; 2θ = 20.97°, I 27, hkl 1 0 4; 2θ = 47.57°, I 27, hkl 2 2 0; 2θ = 15.61°, I 24, hkl 0 1 2; 2θ = 27.23°, I 22, hkl 0 2 1; 2θ = 43.24°, I 19, hkl 1 0 10; 2θ = 55.54°, I 18, hkl 2 1 10